For Nd3YN4, a structure optimized by DFT (PBE) gives the computed powder diffractogram in this record (Cu Kα).

Crystal structure
```
Nd3YN4
1.0
6.254 0.000 0.000
0.000 7.227 0.000
-2.083 0.000 5.896
Nd Y N
6 2 8
Direct
0.000 0.124 0.250 Nd
0.000 0.372 0.750 Nd
0.000 0.628 0.250 Nd
0.000 0.876 0.750 Nd
0.500 0.372 0.250 Nd
0.500 0.628 0.750 Nd
0.500 0.125 0.750 Y
0.500 0.875 0.250 Y
0.253 0.367 0.505 N
0.253 0.633 0.005 N
0.257 0.124 0.998 N
0.257 0.876 0.498 N
0.743 0.124 0.502 N
0.743 0.876 0.002 N
0.747 0.367 0.995 N
0.747 0.633 0.495 N
```

Largest 10 diffraction maxima, most intense first, 2θ from 5° to 70°:
(2 0 0), 2θ 30.31, I = 100; (1 2 1), 2θ 35.14, I = 77; (2 0 2), 2θ 50.54, I = 53; (3 2 1), 2θ 60.08, I = 45; (4 0 0), 2θ 63.05, I = 18; (1 1 0), 2θ 19.43, I = 2; (1 0 0), 2θ 15.02, I = 2; (1 0 -2), 2θ 28.99, I = 1; (1 1 -1), 2θ 21.31, I = 1; (0 1 0), 2θ 12.25, I = 1